1.
Starting from a DFT-relaxed cell (GGA-PBE, the Materials Project), the powder diffractogram of Ba4LaTiNb3O15 was computed for a wavelength of 1.5418 Å.

Top 12 peaks for 10° ≤ 2θ ≤ 90°, sorted by position:
2θ = 28.7°, I = 100, hkl 0 1 3; 2θ = 30.8°, I = 87, hkl 1 1 0; 2θ = 38.9°, I = 12, hkl 0 2 2; 2θ = 42.6°, I = 53, hkl 2 0 3; 2θ = 49.6°, I = 20, hkl 1 0 6; 2θ = 53.5°, I = 35, hkl 1 2 3; 2θ = 54.7°, I = 17, hkl 3 0 0; 2θ = 59.5°, I = 12, hkl 0 2 6; 2θ = 64.1°, I = 18, hkl 2 2 0; 2θ = 68.5°, I = 15, hkl 2 1 6; 2θ = 71.7°, I = 16, hkl 3 1 3; 2θ = 80.0°, I = 13, hkl 0 4 3

Structure:
```
data_Ba4LaTiNb3O15
_cell_length_a 5.8112
_cell_length_b 5.8112
_cell_length_c 11.8468
_cell_angle_alpha 90.00
_cell_angle_beta 90.00
_cell_angle_gamma 120.00
_symmetry_space_group_name_H-M 'P 3 m 1'
_symmetry_Int_Tables_number 156
loop_
_symmetry_equiv_pos_as_xyz
'x,y,z'
'-y,x-y,z'
'-x+y,-x,z'
'-y,-x,z'
'-x+y,y,z'
'x,x-y,z'
loop_
_atom_site_label
_atom_site_type_symbol
_atom_site_fract_x
_atom_site_fract_y
_atom_site_fract_z
Ba1 Ba 0.0000 0.0000 0.0000
Ba2 Ba 0.0000 0.0000 0.3697
Ba3 Ba 0.3333 0.6667 0.1495
Ba4 Ba 0.6667 0.3333 0.5767
La1 La 0.3333 0.6667 0.7887
Ti1 Ti 0.0000 0.0000 0.6804
Nb1 Nb 0.3333 0.6667 0.4765
Nb2 Nb 0.6667 0.3333 0.2587
Nb3 Nb 0.6667 0.3333 0.8821
O1 O 0.0040 0.5020 0.3836
O2 O 0.0092 0.5046 0.9510
O3 O 0.1692 0.3384 0.5828
O4 O 0.3279 0.1639 0.7676
O5 O 0.3360 0.1680 0.1851
```



2.
Starting from a DFT-relaxed cell (GGA-PBE, the Materials Project), the powder diffractogram of USiSe was computed for a wavelength of 1.5418 Å.

Top 12 peaks for 10° ≤ 2θ ≤ 90°, sorted by position:
2θ = 21.4°, I = 68, hkl 0 0 4; 2θ = 23.5°, I = 80, hkl 1 0 1; 2θ = 28.1°, I = 39, hkl 1 0 3; 2θ = 32.6°, I = 95, hkl 1 1 0; 2θ = 35.6°, I = 72, hkl 1 0 5; 2θ = 39.3°, I = 100, hkl 1 1 4; 2θ = 44.8°, I = 51, hkl 1 0 7; 2θ = 46.8°, I = 51, hkl 2 0 0; 2θ = 60.1°, I = 32, hkl 2 1 5; 2θ = 66.5°, I = 29, hkl 1 0 11; 2θ = 66.8°, I = 32, hkl 2 1 7; 2θ = 85.2°, I = 31, hkl 2 1 11

Structure:
```
data_USiSe
_cell_length_a 3.8842
_cell_length_b 3.8842
_cell_length_c 16.5927
_cell_angle_alpha 90.00
_cell_angle_beta 90.00
_cell_angle_gamma 90.00
_symmetry_space_group_name_H-M 'I 4/m m m'
_symmetry_Int_Tables_number 139
_symmetry_space_group_name_Hall '-I 4 2'
loop_
_atom_site_label
_atom_site_type_symbol
_atom_site_fract_x
_atom_site_fract_y
_atom_site_fract_z
U1 U 0.0000 0.0000 0.1321
Si1 Si 0.0000 0.5000 0.0000
Se1 Se 0.0000 0.0000 0.3159
```



3.
Starting from a DFT-relaxed cell (GGA-PBE, the Materials Project), the powder diffractogram of La2Ga7Au was computed for a wavelength of 1.5418 Å.

Top 12 peaks for 10° ≤ 2θ ≤ 90°, sorted by position:
2θ = 28.2°, I = 32, hkl 1 1 0; 2θ = 32.2°, I = 86, hkl 1 0 3; 2θ = 33.0°, I = 100, hkl 1 1 2; 2θ = 40.4°, I = 76, hkl 2 0 0; 2θ = 44.6°, I = 22, hkl 1 1 4; 2θ = 47.4°, I = 37, hkl 1 0 5; 2θ = 52.6°, I = 43, hkl 2 1 3; 2θ = 58.4°, I = 25, hkl 2 2 0; 2θ = 59.9°, I = 12, hkl 1 1 6; 2θ = 63.9°, I = 30, hkl 2 1 5; 2θ = 68.7°, I = 23, hkl 3 1 2; 2θ = 84.9°, I = 17, hkl 2 0 8

Structure:
```
data_La2Ga7Au
_cell_length_a 4.4692
_cell_length_b 4.4692
_cell_length_c 10.6265
_cell_angle_alpha 90.00
_cell_angle_beta 90.00
_cell_angle_gamma 90.00
_symmetry_space_group_name_H-M 'P 4 m m'
_symmetry_Int_Tables_number 99
loop_
_symmetry_equiv_pos_as_xyz
'x,y,z'
'-y,x,z'
'-x,-y,z'
'y,-x,z'
'-x,y,z'
'y,x,z'
'x,-y,z'
'-y,-x,z'
loop_
_atom_site_label
_atom_site_type_symbol
_atom_site_fract_x
_atom_site_fract_y
_atom_site_fract_z
La1 La 0.0000 0.0000 0.0000
La2 La 0.5000 0.5000 0.4962
Ga1 Ga 0.0000 0.0000 0.3850
Ga2 Ga 0.0000 0.0000 0.6213
Ga3 Ga 0.0000 0.5000 0.2518
Ga4 Ga 0.0000 0.5000 0.7517
Ga5 Ga 0.5000 0.5000 0.8861
Au1 Au 0.5000 0.5000 0.1237
```



4.
Starting from a DFT-relaxed cell (GGA-PBE, the Materials Project), the powder diffractogram of YSiNi4 was computed for a wavelength of 1.5418 Å.

Top 12 peaks for 10° ≤ 2θ ≤ 90°, sorted by position:
2θ = 31.4°, I = 37, hkl 0 2 1; 2θ = 37.2°, I = 44, hkl 1 3 0; 2θ = 41.6°, I = 33, hkl 2 2 0; 2θ = 42.2°, I = 87, hkl 2 0 1; 2θ = 43.9°, I = 100, hkl 1 3 1; 2θ = 46.0°, I = 46, hkl 0 0 2; 2θ = 47.9°, I = 17, hkl 2 2 1; 2θ = 60.6°, I = 19, hkl 1 3 2; 2θ = 63.8°, I = 18, hkl 2 2 2; 2θ = 69.2°, I = 22, hkl 3 3 1; 2θ = 73.0°, I = 15, hkl 0 6 1; 2θ = 79.3°, I = 16, hkl 2 6 0

Structure:
```
data_YSiNi4
_cell_length_a 5.1049
_cell_length_b 8.2312
_cell_length_c 3.9436
_cell_angle_alpha 90.00
_cell_angle_beta 90.00
_cell_angle_gamma 90.00
_symmetry_space_group_name_H-M 'C m m m'
_symmetry_Int_Tables_number 65
_symmetry_space_group_name_Hall '-C 2 2'
loop_
_atom_site_label
_atom_site_type_symbol
_atom_site_fract_x
_atom_site_fract_y
_atom_site_fract_z
Y1 Y 0.0000 0.0000 0.0000
Si1 Si 0.0000 0.5000 0.5000
Ni1 Ni 0.0000 0.3413 0.0000
Ni2 Ni 0.2500 0.2500 0.5000
```



5.
Starting from a DFT-relaxed cell (GGA-PBE, the Materials Project), the powder diffractogram of Cd5Bi6Cl12O8 was computed for a wavelength of 1.5418 Å.

Top 12 peaks for 10° ≤ 2θ ≤ 90°, sorted by position:
2θ = 24.8°, I = 20, hkl 0 0 6; 2θ = 25.9°, I = 100, hkl 1 2 3; 2θ = 30.8°, I = 88, hkl 1 2 5; 2θ = 32.2°, I = 78, hkl 2 0 0; 2θ = 37.1°, I = 41, hkl 1 2 7; 2θ = 41.1°, I = 33, hkl 2 0 6; 2θ = 46.2°, I = 35, hkl 2 4 0; 2θ = 53.7°, I = 29, hkl 3 2 3; 2θ = 53.9°, I = 33, hkl 2 0 10; 2θ = 56.6°, I = 32, hkl 1 6 5; 2θ = 60.7°, I = 32, hkl 1 2 13; 2θ = 79.6°, I = 18, hkl 3 2 13

Structure:
```
data_Cd5Bi6Cl12O8
_cell_length_a 5.5560
_cell_length_b 11.1140
_cell_length_c 21.5179
_cell_angle_alpha 90.00
_cell_angle_beta 90.00
_cell_angle_gamma 90.00
_symmetry_space_group_name_H-M 'I m m m'
_symmetry_Int_Tables_number 71
_symmetry_space_group_name_Hall '-I 2 2'
loop_
_atom_site_label
_atom_site_type_symbol
_atom_site_fract_x
_atom_site_fract_y
_atom_site_fract_z
Cd1 Cd 0.0000 0.0000 0.0000
Cd2 Cd 0.0000 0.2310 0.5000
Cd3 Cd 0.0000 0.5000 0.3048
Bi1 Bi 0.0000 0.0000 0.3053
Bi2 Bi 0.0000 0.2542 0.1932
Cl1 Cl 0.0000 0.0000 0.1240
Cl2 Cl 0.0000 0.0000 0.5000
Cl3 Cl 0.0000 0.2336 0.0000
Cl4 Cl 0.0000 0.2634 0.3811
Cl5 Cl 0.0000 0.5000 0.1274
Cl6 Cl 0.0000 0.5000 0.5000
O1 O 0.2438 0.1281 0.2500
```



6.
Starting from a DFT-relaxed cell (GGA-PBE, the Materials Project), the powder diffractogram of NaPH3C2N3O4 was computed for a wavelength of 1.5418 Å.

Top 12 peaks for 10° ≤ 2θ ≤ 90°, sorted by position:
2θ = 16.0°, I = 33, hkl 1 0 0; 2θ = 17.4°, I = 13, hkl 1 1 0; 2θ = 18.7°, I = 58, hkl 1 2 -1; 2θ = 18.8°, I = 15, hkl 1 0 -2; 2θ = 20.0°, I = 100, hkl 1 1 -2; 2θ = 24.8°, I = 21, hkl 2 0 -2; 2θ = 25.6°, I = 80, hkl 0 1 2; 2θ = 25.8°, I = 24, hkl 2 1 -2; 2θ = 26.7°, I = 40, hkl 1 1 1; 2θ = 28.6°, I = 32, hkl 2 2 -2; 2θ = 30.9°, I = 37, hkl 1 4 -1; 2θ = 47.7°, I = 12, hkl 3 4 -3

Structure:
```
data_NaPH3C2N3O4
_cell_length_a 7.2639
_cell_length_b 12.6649
_cell_length_c 9.4602
_cell_angle_alpha 90.00
_cell_angle_beta 130.10
_cell_angle_gamma 90.00
_symmetry_space_group_name_H-M 'P 1 21/c 1'
_symmetry_Int_Tables_number 14
loop_
_symmetry_equiv_pos_as_xyz
'x,y,z'
'-x,-y,-z'
'-x,y+1/2,-z+1/2'
'x,-y+1/2,z+1/2'
loop_
_atom_site_label
_atom_site_type_symbol
_atom_site_fract_x
_atom_site_fract_y
_atom_site_fract_z
Na1 Na 0.1991 0.0343 0.3827
P1 P 0.3434 0.5758 0.6063
H1 H 0.1716 0.7341 0.8185
H2 H 0.2983 0.7180 0.8653
H3 H 0.3280 0.0904 0.8988
C1 C 0.2227 0.6991 0.0667
C2 C 0.3850 0.2361 0.8302
N1 N 0.2300 0.6977 0.5991
N2 N 0.4268 0.1324 0.8739
N3 N 0.4670 0.7252 0.2124
O1 O 0.0923 0.6223 0.9966
O2 O 0.1790 0.5173 0.4272
O3 O 0.2339 0.2060 0.3108
O4 O 0.4357 0.5272 0.7863
```



7.
Starting from a DFT-relaxed cell (GGA-PBE, the Materials Project), the powder diffractogram of Ca5Ge3H was computed for a wavelength of 1.5418 Å.

Top 12 peaks for 10° ≤ 2θ ≤ 90°, sorted by position:
2θ = 12.1°, I = 10, hkl 0 0 2; 2θ = 20.3°, I = 31, hkl 1 1 2; 2θ = 31.7°, I = 100, hkl 2 1 3; 2θ = 32.7°, I = 13, hkl 2 2 0; 2θ = 33.8°, I = 36, hkl 2 0 4; 2θ = 36.7°, I = 49, hkl 3 1 0; 2θ = 40.4°, I = 11, hkl 2 1 5; 2θ = 40.6°, I = 11, hkl 1 1 6; 2θ = 42.6°, I = 13, hkl 3 2 1; 2θ = 52.9°, I = 12, hkl 4 2 0; 2θ = 63.6°, I = 12, hkl 3 1 8; 2θ = 66.8°, I = 14, hkl 5 1 4

Structure:
```
data_Ca5Ge3H
_cell_length_a 7.7390
_cell_length_b 7.7390
_cell_length_c 14.5920
_cell_angle_alpha 90.00
_cell_angle_beta 90.00
_cell_angle_gamma 90.00
_symmetry_space_group_name_H-M 'I 4/m c m'
_symmetry_Int_Tables_number 140
_symmetry_space_group_name_Hall '-I 4 2c'
loop_
_atom_site_label
_atom_site_type_symbol
_atom_site_fract_x
_atom_site_fract_y
_atom_site_fract_z
Ca1 Ca 0.0000 0.0000 0.0000
Ca2 Ca 0.1674 0.3326 0.1491
Ge1 Ge 0.0000 0.0000 0.2500
Ge2 Ge 0.1173 0.3827 0.5000
H1 H 0.0000 0.5000 0.2500
```



8.
Starting from a DFT-relaxed cell (GGA-PBE, the Materials Project), the powder diffractogram of CeClO was computed for a wavelength of 1.5418 Å.

Top 12 peaks for 10° ≤ 2θ ≤ 90°, sorted by position:
2θ = 12.8°, I = 37, hkl 0 0 1; 2θ = 25.4°, I = 85, hkl 1 0 1; 2θ = 31.1°, I = 70, hkl 1 1 0; 2θ = 34.0°, I = 100, hkl 1 0 2; 2θ = 40.8°, I = 25, hkl 1 1 2; 2θ = 44.6°, I = 37, hkl 2 0 0; 2θ = 50.7°, I = 23, hkl 1 1 3; 2θ = 52.0°, I = 26, hkl 2 1 1; 2θ = 57.3°, I = 43, hkl 2 1 2; 2θ = 57.9°, I = 17, hkl 1 0 4; 2θ = 73.7°, I = 12, hkl 3 1 0; 2θ = 75.9°, I = 15, hkl 2 1 4

Structure:
```
data_CeClO
_cell_length_a 4.0633
_cell_length_b 4.0633
_cell_length_c 6.9253
_cell_angle_alpha 90.00
_cell_angle_beta 90.00
_cell_angle_gamma 90.00
_symmetry_space_group_name_H-M 'P 4/n m m'
_symmetry_Int_Tables_number 129
loop_
_symmetry_equiv_pos_as_xyz
'x,y,z'
'-x,-y,-z'
'-y+1/2,x,z'
'y+1/2,-x,-z'
'-x+1/2,-y+1/2,z'
'x+1/2,y+1/2,-z'
'y,-x+1/2,z'
'-y,x+1/2,-z'
'x+1/2,-y,-z'
'-x+1/2,y,z'
'-y,-x,-z'
'y,x,z'
'-x,y+1/2,-z'
'x,-y+1/2,z'
'y+1/2,x+1/2,-z'
'-y+1/2,-x+1/2,z'
loop_
_atom_site_label
_atom_site_type_symbol
_atom_site_fract_x
_atom_site_fract_y
_atom_site_fract_z
Ce1 Ce 0.2500 0.2500 0.1726
Cl1 Cl 0.2500 0.2500 0.6311
O1 O 0.2500 0.7500 0.0000
```



9.
Starting from a DFT-relaxed cell (GGA-PBE, the Materials Project), the powder diffractogram of K2YAgI6 was computed for a wavelength of 1.5418 Å.

Top 12 peaks for 10° ≤ 2θ ≤ 90°, sorted by position:
2θ = 14.7°, I = 68, hkl 2 0 0; 2θ = 25.5°, I = 72, hkl 2 2 2; 2θ = 29.5°, I = 100, hkl 4 0 0; 2θ = 33.1°, I = 38, hkl 4 2 0; 2θ = 42.3°, I = 74, hkl 4 4 0; 2θ = 45.0°, I = 20, hkl 6 0 0; 2θ = 50.0°, I = 33, hkl 6 2 2; 2θ = 52.4°, I = 26, hkl 4 4 4; 2θ = 61.3°, I = 12, hkl 8 0 0; 2θ = 67.5°, I = 13, hkl 6 6 2; 2θ = 69.5°, I = 32, hkl 8 4 0; 2θ = 77.3°, I = 24, hkl 8 4 4

Structure:
```
data_K2YAgI6
_cell_length_a 12.0925
_cell_length_b 12.0925
_cell_length_c 12.0925
_cell_angle_alpha 90.00
_cell_angle_beta 90.00
_cell_angle_gamma 90.00
_symmetry_space_group_name_H-M 'F m -3 m'
_symmetry_Int_Tables_number 225
_symmetry_space_group_name_Hall '-F 4 2 3'
loop_
_atom_site_label
_atom_site_type_symbol
_atom_site_fract_x
_atom_site_fract_y
_atom_site_fract_z
K1 K 0.2500 0.2500 0.2500
Y1 Y 0.0000 0.0000 0.0000
Ag1 Ag 0.0000 0.0000 0.5000
I1 I 0.0000 0.0000 0.2498
```



10.
Starting from a DFT-relaxed cell (GGA-PBE, the Materials Project), the powder diffractogram of Li2Mg was computed for a wavelength of 1.5418 Å.

Top 12 peaks for 10° ≤ 2θ ≤ 90°, sorted by position:
2θ = 20.3°, I = 100, hkl 1 1 0; 2θ = 22.1°, I = 31, hkl 1 1 -1; 2θ = 23.9°, I = 47, hkl 2 0 0; 2θ = 29.7°, I = 26, hkl 2 0 -2; 2θ = 34.0°, I = 29, hkl 3 1 -1; 2θ = 35.1°, I = 25, hkl 1 1 -2; 2θ = 36.2°, I = 46, hkl 0 0 2; 2θ = 37.3°, I = 62, hkl 3 1 -2; 2θ = 37.9°, I = 63, hkl 0 2 1; 2θ = 39.0°, I = 19, hkl 2 2 -1; 2θ = 39.9°, I = 51, hkl 3 1 0; 2θ = 59.8°, I = 26, hkl 3 3 -1

Structure:
```
data_Li2Mg
_cell_length_a 9.1071
_cell_length_b 5.3982
_cell_length_c 6.0587
_cell_angle_alpha 90.00
_cell_angle_beta 125.02
_cell_angle_gamma 90.00
_symmetry_space_group_name_H-M 'C 1 2/c 1'
_symmetry_Int_Tables_number 15
loop_
_symmetry_equiv_pos_as_xyz
'x,y,z'
'-x,-y,-z'
'-x,y,-z+1/2'
'x,-y,z+1/2'
'x+1/2,y+1/2,z'
'-x+1/2,-y+1/2,-z'
'-x+1/2,y+1/2,-z+1/2'
'x+1/2,-y+1/2,z+1/2'
loop_
_atom_site_label
_atom_site_type_symbol
_atom_site_fract_x
_atom_site_fract_y
_atom_site_fract_z
Li1 Li 0.1653 0.0851 0.2475
Mg1 Mg 0.0000 0.4131 0.7500
```



11.
Starting from a DFT-relaxed cell (GGA-PBE, the Materials Project), the powder diffractogram of Ti2ZnSn2O7 was computed for a wavelength of 1.5418 Å.

Top 12 peaks for 10° ≤ 2θ ≤ 90°, sorted by position:
2θ = 14.5°, I = 26, hkl 1 1 -1; 2θ = 20.5°, I = 20, hkl 0 0 2; 2θ = 23.7°, I = 22, hkl 2 0 -2; 2θ = 26.8°, I = 100, hkl 0 2 2; 2θ = 27.2°, I = 87, hkl 2 2 0; 2θ = 27.7°, I = 22, hkl 1 3 0; 2θ = 29.2°, I = 44, hkl 2 2 -2; 2θ = 30.2°, I = 22, hkl 1 1 -3; 2θ = 34.7°, I = 30, hkl 2 0 2; 2θ = 42.1°, I = 23, hkl 2 4 -2; 2θ = 43.2°, I = 25, hkl 2 2 -4; 2θ = 49.6°, I = 20, hkl 2 4 2

Structure:
```
data_Ti2ZnSn2O7
_cell_length_a 8.9944
_cell_length_b 10.4583
_cell_length_c 9.2666
_cell_angle_alpha 90.00
_cell_angle_beta 111.04
_cell_angle_gamma 90.00
_symmetry_space_group_name_H-M 'C 1 2/c 1'
_symmetry_Int_Tables_number 15
loop_
_symmetry_equiv_pos_as_xyz
'x,y,z'
'-x,-y,-z'
'-x,y,-z+1/2'
'x,-y,z+1/2'
'x+1/2,y+1/2,z'
'-x+1/2,-y+1/2,-z'
'-x+1/2,y+1/2,-z+1/2'
'x+1/2,-y+1/2,z+1/2'
loop_
_atom_site_label
_atom_site_type_symbol
_atom_site_fract_x
_atom_site_fract_y
_atom_site_fract_z
Ti1 Ti 0.1139 0.2117 0.1269
Zn1 Zn 0.0000 0.2339 0.7500
Sn1 Sn 0.2199 0.4962 0.4837
O1 O 0.0000 0.1647 0.2500
O2 O 0.0543 0.1282 0.9396
O3 O 0.1140 0.3824 0.0995
O4 O 0.1831 0.3558 0.7937
```



12.
Starting from a DFT-relaxed cell (GGA-PBE, the Materials Project), the powder diffractogram of BaSb2 was computed for a wavelength of 1.5418 Å.

Top 12 peaks for 10° ≤ 2θ ≤ 90°, sorted by position:
2θ = 25.0°, I = 15, hkl 2 0 -1; 2θ = 26.9°, I = 100, hkl 1 1 -1; 2θ = 27.4°, I = 41, hkl 2 0 1; 2θ = 28.1°, I = 34, hkl 1 1 1; 2θ = 34.0°, I = 73, hkl 3 1 0; 2θ = 36.5°, I = 24, hkl 0 0 2; 2θ = 37.0°, I = 30, hkl 0 2 0; 2θ = 41.1°, I = 18, hkl 4 0 -1; 2θ = 46.7°, I = 19, hkl 2 2 1; 2θ = 48.8°, I = 18, hkl 3 1 -2; 2θ = 52.8°, I = 18, hkl 3 1 2; 2θ = 53.0°, I = 16, hkl 0 2 2

Structure:
```
data_BaSb2
_cell_length_a 9.4423
_cell_length_b 4.8548
_cell_length_c 4.9366
_cell_angle_alpha 90.00
_cell_angle_beta 95.06
_cell_angle_gamma 90.00
_symmetry_space_group_name_H-M 'C 1 2/m 1'
_symmetry_Int_Tables_number 12
loop_
_symmetry_equiv_pos_as_xyz
'x,y,z'
'-x,-y,-z'
'-x,y,-z'
'x,-y,z'
'x+1/2,y+1/2,z'
'-x+1/2,-y+1/2,-z'
'-x+1/2,y+1/2,-z'
'x+1/2,-y+1/2,z'
loop_
_atom_site_label
_atom_site_type_symbol
_atom_site_fract_x
_atom_site_fract_y
_atom_site_fract_z
Ba1 Ba 0.0000 0.0000 0.0000
Sb1 Sb 0.1586 0.5000 0.5489
```



Copy entry 4 word for word.
Starting from a DFT-relaxed cell (GGA-PBE, the Materials Project), the powder diffractogram of YSiNi4 was computed for a wavelength of 1.5418 Å.

Top 12 peaks for 10° ≤ 2θ ≤ 90°, sorted by position:
2θ = 31.4°, I = 37, hkl 0 2 1; 2θ = 37.2°, I = 44, hkl 1 3 0; 2θ = 41.6°, I = 33, hkl 2 2 0; 2θ = 42.2°, I = 87, hkl 2 0 1; 2θ = 43.9°, I = 100, hkl 1 3 1; 2θ = 46.0°, I = 46, hkl 0 0 2; 2θ = 47.9°, I = 17, hkl 2 2 1; 2θ = 60.6°, I = 19, hkl 1 3 2; 2θ = 63.8°, I = 18, hkl 2 2 2; 2θ = 69.2°, I = 22, hkl 3 3 1; 2θ = 73.0°, I = 15, hkl 0 6 1; 2θ = 79.3°, I = 16, hkl 2 6 0

Structure:
```
data_YSiNi4
_cell_length_a 5.1049
_cell_length_b 8.2312
_cell_length_c 3.9436
_cell_angle_alpha 90.00
_cell_angle_beta 90.00
_cell_angle_gamma 90.00
_symmetry_space_group_name_H-M 'C m m m'
_symmetry_Int_Tables_number 65
_symmetry_space_group_name_Hall '-C 2 2'
loop_
_atom_site_label
_atom_site_type_symbol
_atom_site_fract_x
_atom_site_fract_y
_atom_site_fract_z
Y1 Y 0.0000 0.0000 0.0000
Si1 Si 0.0000 0.5000 0.5000
Ni1 Ni 0.0000 0.3413 0.0000
Ni2 Ni 0.2500 0.2500 0.5000
```



- What is the formula in the sixth record?
  NaPH3C2N3O4